1.
Simulated powder diffractogram
Compound: KVF3
Radiation: Cu Kα (weighted mean of Kα1 and Kα2)
Structure: a structure optimized by DFT (PBE+U)
Intensities are scaled so that the largest is 100.

Cell and atoms:
abc: 4.2254 4.2254 4.2254
angles: 90.00 90.00 90.00
Space group Pm-3m (No. 221)
One atom of each set of equivalent atoms:
K 0.0000 0.0000 0.0000 x1
V 0.5000 0.5000 0.5000 x1
F 0.0000 0.5000 0.5000 x3

Largest 6 diffraction maxima, sorted by position, 5° ≤ 2θ ≤ 70°:
hkl  d (Å)  I (rel.)
1 0 0  4.225  22
1 1 0  2.988  100
1 1 1  2.440  18
2 0 0  2.113  76
2 1 1  1.725  35
2 2 0  1.494  41

=====

2.
Simulated powder diffractogram
Compound: Mg2MnWO6
Radiation: Cu Kα (weighted mean of Kα1 and Kα2)
Structure: a structure optimized by DFT (PBE+U)
Intensities are scaled so that the largest is 100.

Cell and atoms:
abc: 9.1088 6.3892 5.3117
angles: 90.00 123.24 90.00
Space group C2 (No. 5)
One atom of each set of equivalent atoms:
Mg 0.2077 0.0000 0.2481 x4
Mn 0.0000 0.4087 0.0000 x2
W 0.0000 0.8107 0.5000 x2
O 0.0374 0.0111 0.7984 x4
O 0.0920 0.5852 0.7997 x4
O 0.2470 0.8064 0.5961 x4

Largest 6 diffraction maxima, sorted by position, 5° ≤ 2θ ≤ 70°:
hkl  d (Å)  I (rel.)
1 1 0  4.895  69
1 1 -1  4.082  100
2 0 0  3.809  32
1 1 1  2.831  40
3 1 -1  2.741  37
0 2 1  2.594  27

=====

3.
Simulated powder diffractogram
Compound: CaFeP2O7
Radiation: Cu Kα (weighted mean of Kα1 and Kα2)
Structure: a structure optimized by DFT (PBE+U)
Intensities are scaled so that the largest is 100.

Cell and atoms:
abc: 6.2210 6.6104 7.3043
angles: 82.70 88.24 69.09
Space group P-1 (No. 2)
One atom of each set of equivalent atoms:
Ca 0.1964 0.2945 0.3577 x2
Fe 0.2451 0.8699 0.8069 x2
P 0.2643 0.7823 0.3818 x2
P 0.3322 0.3409 0.8808 x2
O 0.1084 0.9995 0.2762 x2
O 0.1367 0.6303 0.4516 x2
O 0.1653 0.5797 0.8520 x2
O 0.2449 0.1822 0.8015 x2
O 0.3995 0.8286 0.5351 x2
O 0.4163 0.2695 0.0827 x2
O 0.4417 0.6516 0.2357 x2

Largest 6 diffraction maxima, sorted by position, 5° ≤ 2θ ≤ 70°:
hkl  d (Å)  I (rel.)
1 2 0  3.225  47
1 -1 1  3.137  25
1 0 -2  3.095  100
0 2 0  3.064  25
1 0 2  3.052  52
2 0 0  2.905  41

=====

4.
Simulated powder diffractogram
Compound: Tb2MgCr2O8
Radiation: Cu Kα (weighted mean of Kα1 and Kα2)
Structure: a structure optimized by DFT (PBE+U)
Intensities are scaled so that the largest is 100.

Cell and atoms:
abc: 5.0469 5.1575 7.9127
angles: 105.57 105.32 99.86
Space group P1 (No. 1)
One atom of each set of equivalent atoms:
Tb 0.0000 0.0000 0.0000 x1
Tb 0.1784 0.6764 0.3547 x1
Mg 0.3331 0.3287 0.6605 x1
Cr 0.5268 0.5263 0.0531 x1
Cr 0.6649 0.1627 0.3274 x1
O 0.0019 0.4156 0.5039 x1
O 0.2417 0.2269 0.8648 x1
O 0.3242 0.7961 0.1249 x1
O 0.4018 0.3628 0.2462 x1
O 0.5057 0.0840 0.5046 x1
O 0.6244 0.6376 0.8642 x1
O 0.8019 0.3282 0.1252 x1
O 0.8455 0.8812 0.2457 x1

Largest 6 diffraction maxima, sorted by position, 5° ≤ 2θ ≤ 70°:
hkl  d (Å)  I (rel.)
0 0 1  7.204  88
1 0 -1  4.700  32
0 1 1  3.490  34
1 -1 1  3.432  100
1 1 0  2.988  50
1 1 -3  2.427  50

=====

5.
Simulated powder diffractogram
Compound: Li9Co7O16
Radiation: Cu Kα (weighted mean of Kα1 and Kα2)
Structure: a structure optimized by DFT (PBE+U)
Intensities are scaled so that the largest is 100.

Cell and atoms:
abc: 21.1603 2.9072 10.0154
angles: 90.00 114.39 90.00
Space group C2/m (No. 12)
One atom of each set of equivalent atoms:
Li 0.0000 0.0000 0.0000 x2
Li 0.1215 0.5000 0.1806 x4
Li 0.1245 0.0000 0.4379 x4
Li 0.1244 0.0000 0.9364 x4
Li 0.1255 0.5000 0.6887 x4
Co 0.0000 0.0000 0.5000 x2
Co 0.0014 0.5000 0.7604 x4
Co 0.2505 0.0000 0.3758 x4
Co 0.2500 0.0000 0.8752 x4
O 0.0521 0.5000 0.4638 x4
O 0.0543 0.0000 0.7047 x4
O 0.0584 0.0000 0.2264 x4
O 0.0590 0.5000 0.9489 x4
O 0.1907 0.5000 0.9072 x4
O 0.1925 0.0000 0.6553 x4
O 0.1926 0.0000 0.1686 x4
O 0.1956 0.5000 0.4177 x4

Largest 6 diffraction maxima, sorted by position, 5° ≤ 2θ ≤ 70°:
hkl  d (Å)  I (rel.)
4 0 0  4.818  100
3 1 -2  2.481  28
7 1 -2  2.074  55
2 0 4  2.038  25
9 1 2  1.460  14
5 1 -6  1.447  14

=====

6.
Simulated powder diffractogram
Compound: Li9Mn2Co5O16
Radiation: Cu Kα (weighted mean of Kα1 and Kα2)
Structure: a structure optimized by DFT (PBE+U)
Intensities are scaled so that the largest is 100.

Cell and atoms:
abc: 38.6621 2.9481 5.0739
angles: 90.00 94.00 90.00
Space group C2/m (No. 12)
One atom of each set of equivalent atoms:
Li 0.0000 0.0000 0.0000 x2
Li 0.0584 0.5000 0.1726 x4
Li 0.0594 0.0000 0.6879 x4
Li 0.1871 0.0000 0.0588 x4
Li 0.1865 0.5000 0.5687 x4
Mn 0.1253 0.0000 0.3729 x4
Co 0.0000 0.5000 0.5000 x2
Co 0.1249 0.5000 0.8734 x4
Co 0.2492 0.5000 0.2508 x4
O 0.0266 0.0000 0.3581 x4
O 0.0272 0.5000 0.8001 x4
O 0.0964 0.0000 0.0448 x4
O 0.0978 0.5000 0.5022 x4
O 0.1522 0.0000 0.7039 x4
O 0.1517 0.5000 0.2416 x4
O 0.2219 0.0000 0.4176 x4
O 0.2215 0.5000 0.9202 x4

Largest 6 diffraction maxima, sorted by position, 5° ≤ 2θ ≤ 70°:
hkl  d (Å)  I (rel.)
8 0 0  4.821  100
3 1 -1  2.516  26
2 0 2  2.487  12
11 1 -1  2.096  53
10 0 2  2.051  24
1 1 -3  1.466  27

=====

7.
Simulated powder diffractogram
Compound: KPrEuWO6
Radiation: Cu Kα (weighted mean of Kα1 and Kα2)
Structure: a structure optimized by DFT (PBE+U)
Intensities are scaled so that the largest is 100.

Cell and atoms:
abc: 8.5107 8.5112 8.5548
angles: 90.00 90.00 90.00
Space group Pnnn (No. 48, origin choice 2)
One atom of each set of equivalent atoms:
K 0.2500 0.2500 0.2500 x2
K 0.2500 0.7500 0.7500 x2
Pr 0.0000 0.0000 0.0000 x4
Eu 0.2500 0.2500 0.7500 x2
Eu 0.2500 0.7500 0.2500 x2
W 0.0000 0.0000 0.5000 x4
O 0.0283 0.0414 0.7269 x8
O 0.0318 0.7257 0.9802 x8
O 0.2259 0.0252 0.4699 x8

Largest 6 diffraction maxima, sorted by position, 5° ≤ 2θ ≤ 70°:
hkl  d (Å)  I (rel.)
0 2 2  3.014  100
4 0 0  2.128  18
2 2 4  1.743  14
2 4 2  1.739  29
4 0 4  1.508  11
0 6 2  1.346  12

=====

8.
Simulated powder diffractogram
Compound: Mn3Ag4O8
Radiation: Cu Kα (weighted mean of Kα1 and Kα2)
Structure: a structure optimized by DFT (PBE+U)
Intensities are scaled so that the largest is 100.

Cell and atoms:
abc: 8.8888 9.2553 9.2782
angles: 89.84 89.55 89.52
Space group P1 (No. 1)
One atom of each set of equivalent atoms:
Mn 0.0000 0.0000 0.0000 x1
Mn 0.0353 0.2064 0.7488 x1
Mn 0.0779 0.4622 0.5514 x1
Mn 0.2512 0.9570 0.7946 x1
Mn 0.2885 0.7044 0.5945 x1
Mn 0.3279 0.5023 0.3416 x1
Mn 0.5009 0.7503 0.8406 x1
Mn 0.5370 0.5421 0.0870 x1
Mn 0.5750 0.2879 0.3015 x1
Mn 0.7475 0.7975 0.0432 x1
Mn 0.7869 0.0393 0.2559 x1
Mn 0.8285 0.2425 0.5077 x1
Ag 0.0296 0.7355 0.2893 x1
Ag 0.0866 0.9744 0.4559 x1
Ag 0.1599 0.6588 0.0139 x1
Ag 0.1747 0.1850 0.2633 x1
Ag 0.2081 0.3516 0.0087 x1
Ag 0.3172 0.8753 0.2034 x1
Ag 0.3998 0.2617 0.6223 x1
Ag 0.4556 0.1147 0.0204 x1
Ag 0.5348 0.9970 0.5445 x1
Ag 0.5825 0.7582 0.3651 x1
Ag 0.6379 0.3679 0.7835 x1
Ag 0.6990 0.5883 0.5871 x1
Ag 0.7901 0.2750 0.0184 x1
Ag 0.8619 0.8492 0.6514 x1
Ag 0.8969 0.4791 0.2290 x1
Ag 0.8989 0.5337 0.8756 x1
O 0.0010 0.0331 0.2071 x1
O 0.0143 0.2058 0.9563 x1
O 0.0275 0.9910 0.7856 x1
O 0.0496 0.2377 0.5379 x1
O 0.0640 0.4117 0.7516 x1
O 0.0772 0.6670 0.5794 x1
O 0.1155 0.4796 0.3474 x1
O 0.2112 0.9689 0.9997 x1
O 0.2464 0.1637 0.7693 x1
O 0.2720 0.9119 0.5925 x1
O 0.2787 0.7419 0.8061 x1
O 0.2994 0.4916 0.5558 x1
O 0.3250 0.7071 0.3862 x1
O 0.3257 0.5250 0.1324 x1
O 0.3640 0.2990 0.3358 x1
O 0.4608 0.9550 0.8242 x1
O 0.5046 0.7202 0.6360 x1
O 0.5078 0.5419 0.8856 x1
O 0.5230 0.7587 0.0558 x1
O 0.5482 0.5064 0.3056 x1
O 0.5650 0.3334 0.0966 x1
O 0.5748 0.0825 0.2685 x1
O 0.6146 0.2726 0.5027 x1
O 0.7115 0.7774 0.8422 x1
O 0.7491 0.5891 0.0710 x1
O 0.7764 0.8332 0.2493 x1
O 0.7768 0.0094 0.0390 x1
O 0.7975 0.2524 0.2924 x1
O 0.8209 0.0378 0.4618 x1
O 0.8217 0.2162 0.7093 x1
O 0.8683 0.4484 0.5118 x1
O 0.9598 0.7990 0.0132 x1

Largest 6 diffraction maxima, sorted by position, 5° ≤ 2θ ≤ 70°:
hkl  d (Å)  I (rel.)
2 1 -2  3.029  87
-2 2 1  3.018  99
1 1 -3  2.781  100
2 2 -2  2.635  90
0 3 2  2.571  81
1 -3 2  2.465  93